This entry pairs a crystal structure of La5YAl6 with its simulated powder diffractogram. Radiation: a wavelength of 1.5418 Å. Structure: a cell relaxed with PBE.
Lines closer than 0.1° are merged.

Principal peaks in the range 15 to 90 degrees two-theta, by intensity:
2θ 33.69, d = 2.660 Å, rel. 100; 2θ 23.57, d = 3.775 Å, rel. 53; 2θ 33.58, d = 2.669 Å, rel. 50; 2θ 23.73, d = 3.750 Å, rel. 27; 2θ 60.08, d = 1.540 Å, rel. 26; 2θ 60.33, d = 1.534 Å, rel. 18; 2θ 41.55, d = 2.174 Å, rel. 12; 2θ 41.51, d = 2.176 Å, rel. 12; 2θ 54.66, d = 1.679 Å, rel. 11; 2θ 70.84, d = 1.330 Å, rel. 11

Crystal structure
```
La5YAl6
1.0
8.439 -3.750 0.000
8.439 3.750 0.000
-1.674 0.000 5.065
La Y Al
5 1 6
Cartesian
0.000 0.000 0.000 La
1.631 0.000 3.357 La
4.930 0.000 1.640 La
10.275 0.000 3.425 La
13.574 0.000 1.708 La
8.439 0.000 0.000 Y
4.319 1.775 4.246 Al
7.603 1.685 2.533 Al
10.886 1.775 0.819 Al
4.319 -1.775 4.246 Al
7.603 -1.685 2.533 Al
10.886 -1.775 0.819 Al
```



This entry pairs a crystal structure of LaYbAl4 with its simulated powder diffractogram. Radiation: a wavelength of 1.5418 Å. Structure: a cell relaxed with PBE.
Lines closer than 0.1° are merged.

Principal peaks in the range 15 to 90 degrees two-theta, by intensity:
2θ 37.17, d = 2.419 Å, rel. 100; 2θ 31.54, d = 2.837 Å, rel. 99; 2θ 19.16, d = 4.632 Å, rel. 62; 2θ 56.16, d = 1.638 Å, rel. 39; 2θ 59.91, d = 1.544 Å, rel. 33; 2θ 65.85, d = 1.418 Å, rel. 22; 2θ 74.85, d = 1.269 Å, rel. 17; 2θ 49.52, d = 1.841 Å, rel. 16; 2θ 69.29, d = 1.356 Å, rel. 12; 2θ 78.12, d = 1.223 Å, rel. 11

Crystal structure
```
LaYbAl4
1.0
0.000 4.011 4.011
4.011 0.000 4.011
4.011 4.011 0.000
La Yb Al
1 1 4
Cartesian
0.000 0.000 0.000 La
6.017 6.017 6.017 Yb
3.009 3.009 3.009 Al
5.014 5.014 3.009 Al
5.014 3.009 5.014 Al
3.009 5.014 5.014 Al
```



This entry pairs a crystal structure of LaAl3Zn2 with its simulated powder diffractogram. Radiation: a wavelength of 1.5418 Å. Structure: a cell relaxed with PBE.
Lines closer than 0.1° are merged.

Principal peaks in the range 15 to 90 degrees two-theta, by intensity:
2θ 28.07, d = 3.178 Å, rel. 100; 2θ 34.05, d = 2.633 Å, rel. 76; 2θ 31.19, d = 2.867 Å, rel. 74; 2θ 37.56, d = 2.394 Å, rel. 72; 2θ 41.94, d = 2.154 Å, rel. 53; 2θ 32.73, d = 2.736 Å, rel. 41; 2θ 41.66, d = 2.168 Å, rel. 40; 2θ 27.09, d = 3.291 Å, rel. 37; 2θ 38.24, d = 2.354 Å, rel. 28; 2θ 27.28, d = 3.269 Å, rel. 27

Crystal structure
```
LaAl3Zn2
1.0
7.791 -2.154 0.000
7.791 2.154 0.000
-3.303 0.000 7.087
La Al Zn
2 6 4
Cartesian
2.098 0.000 0.585 La
10.180 0.000 6.502 La
-0.713 0.000 2.566 Al
3.139 0.000 3.899 Al
5.189 0.000 2.068 Al
7.090 0.000 5.018 Al
9.139 0.000 3.188 Al
12.991 0.000 4.521 Al
0.702 0.000 4.871 Zn
4.739 0.000 5.905 Zn
7.540 0.000 1.182 Zn
11.577 0.000 2.216 Zn
```



This entry pairs a crystal structure of LaAl5Zn2 with its simulated powder diffractogram. Radiation: a wavelength of 1.5418 Å. Structure: a cell relaxed with PBE.
Lines closer than 0.1° are merged.

Principal peaks in the range 15 to 90 degrees two-theta, by intensity:
2θ 30.50, d = 2.931 Å, rel. 100; 2θ 33.70, d = 2.659 Å, rel. 55; 2θ 34.56, d = 2.595 Å, rel. 44; 2θ 43.94, d = 2.061 Å, rel. 43; 2θ 24.17, d = 3.682 Å, rel. 41; 2θ 46.66, d = 1.947 Å, rel. 38; 2θ 63.47, d = 1.466 Å, rel. 28; 2θ 43.40, d = 2.085 Å, rel. 27; 2θ 29.55, d = 3.023 Å, rel. 17; 2θ 61.50, d = 1.508 Å, rel. 17

Crystal structure
```
LaAl5Zn2
1.0
4.170 0.000 0.000
0.000 7.363 0.000
0.000 0.000 9.947
La Al Zn
2 10 4
Cartesian
0.000 0.000 0.000 La
2.085 3.682 4.973 La
0.000 1.362 3.567 Al
0.000 1.362 6.380 Al
0.000 3.682 0.000 Al
0.000 6.001 3.567 Al
0.000 6.001 6.380 Al
2.085 0.000 4.973 Al
2.085 2.320 1.406 Al
2.085 2.320 8.541 Al
2.085 5.044 1.406 Al
2.085 5.044 8.541 Al
0.000 3.682 2.528 Zn
0.000 3.682 7.419 Zn
2.085 0.000 2.445 Zn
2.085 0.000 7.502 Zn
```